This entry pairs a crystal structure of PrSmDyTm with its calculated powder X-ray diffraction pattern. Radiation: CuKα. Structure: a crystal structure in Alexandria, relaxed with GGA-PBE.
Intensities are scaled so that the largest is 100.

Most intense lines, 5° ≤ 2θ ≤ 70°, by angle:
Position (°2θ)	d [Å]	I (rel.)
30.0	2.980	58
30.3	2.946	58
31.8	2.810	100
32.1	2.792	100
43.2	2.095	43
58.2	1.586	27

```
PrSmDyTm
1.0
6.235 -2.946 0.000
6.235 2.946 0.000
-1.105 0.000 3.600
Pr Sm Dy Tm
1 1 1 1
Direct
0.000 0.000 0.000
0.267 0.267 0.815
0.518 0.518 0.533
0.754 0.754 0.286
```

This entry pairs a crystal structure of PmTiPd with its calculated powder X-ray diffraction pattern. Radiation: CuKα. Structure: a crystal structure in Alexandria, relaxed with GGA-PBE.
Intensities are scaled so that the largest is 100.

Most intense lines, 5° ≤ 2θ ≤ 70°, by angle:
Position (°2θ)	d [Å]	I (rel.)
26.2	3.397	13
36.0	2.497	100
37.4	2.402	49
54.0	1.699	17
63.7	1.462	14
66.6	1.405	32

```
PmTiPd
1.0
3.397 0.000 0.000
0.000 3.397 0.000
0.000 0.000 11.052
Pm Ti Pd
2 2 2
Direct
0.000 0.000 0.172
0.000 0.000 0.828
0.500 0.500 0.374
0.500 0.500 0.626
0.000 0.000 0.500
0.500 0.500 0.000
```

This entry pairs a crystal structure of NdGa6Cu2 with its calculated powder X-ray diffraction pattern. Radiation: CuKα. Structure: a crystal structure in Alexandria, relaxed with GGA-PBE.
Intensities are scaled so that the largest is 100.

Most intense lines, 5° ≤ 2θ ≤ 70°, by angle:
Position (°2θ)	d [Å]	I (rel.)
25.3	3.523	55
30.6	2.921	52
40.1	2.249	17
43.8	2.065	100
60.9	1.521	18
63.7	1.460	15

```
NdGa6Cu2
1.0
0.000 5.842 5.842
5.842 0.000 5.842
5.842 5.842 0.000
Nd Ga Cu
2 12 4
Direct
0.125 0.125 0.125
0.875 0.875 0.875
0.136 0.136 0.614
0.136 0.614 0.136
0.136 0.614 0.614
0.386 0.386 0.864
0.386 0.864 0.386
0.386 0.864 0.864
0.614 0.136 0.136
0.614 0.136 0.614
0.614 0.614 0.136
0.864 0.386 0.386
0.864 0.386 0.864
0.864 0.864 0.386
0.000 0.500 0.500
0.500 0.000 0.500
0.500 0.500 0.000
0.500 0.500 0.500
```